Starting from a crystal structure in Alexandria, relaxed with PBE+U, the powder diffractogram of Mg2V3O9 was calculated for Cu Kα X-rays.
Kinematic intensities with the Lorentz-polarization factor, no thermal factor.

The 10 most intense peaks (2θ = 15–90°), in order of rising 2θ:
d (Å)	Position (°2θ)	Rel. int.
5.384	16.5	68
3.900	22.8	59
3.266	27.3	20
3.126	28.6	100
2.793	32.0	71
2.692	33.3	17
1.950	46.6	26
1.886	48.3	29
1.573	58.7	16
1.545	59.9	17

Structural model:
```
data_Mg2V3O9
_space_group_name_H-M_alt 'P 1'
_space_group_IT_number 1
_cell_length_a 6.5327
_cell_length_b 6.5327
_cell_length_c 10.7684
_cell_angle_alpha 90.00
_cell_angle_beta 90.00
_cell_angle_gamma 120.00
loop_
_space_group_symop_operation_xyz
'x,y,z'
loop_
_atom_site_label
_atom_site_fract_x
_atom_site_fract_y
_atom_site_fract_z
Mg1 0.3333 0.6667 0.0036
Mg2 0.3333 0.6667 0.4964
Mg3 0.6667 0.3333 0.5036
Mg4 0.6667 0.3333 0.9964
V1 0.0082 0.7108 0.2500
V2 0.2892 0.2974 0.2500
V3 0.2974 0.0082 0.7500
V4 0.7026 0.9918 0.2500
V5 0.7108 0.7026 0.7500
V6 0.9918 0.2892 0.7500
O1 0.0073 0.7614 0.7500
O2 0.0113 0.5860 0.1081
O3 0.0113 0.5860 0.3919
O4 0.2386 0.2459 0.7500
O5 0.2459 0.0073 0.2500
O6 0.4140 0.4253 0.1081
O7 0.4140 0.4253 0.3919
O8 0.4253 0.0113 0.6081
O9 0.4253 0.0113 0.8919
O10 0.5747 0.9887 0.1081
O11 0.5747 0.9887 0.3919
O12 0.5860 0.5747 0.6081
O13 0.5860 0.5747 0.8919
O14 0.7541 0.9927 0.7500
O15 0.7614 0.7541 0.2500
O16 0.9887 0.4140 0.6081
O17 0.9887 0.4140 0.8919
O18 0.9927 0.2386 0.2500
```